Entry 1:
Simulated X-ray diffraction stick pattern of SbTeAu2 for Cu Kα X-rays, from a cell relaxed with GGA-PBE.

Cell lengths 4.681, 4.751, 4.751 Å; angles 72.63, 90.00, 90.00 degrees
Sites, in units of the cell vectors:
Sb 0.000 0.000 0.000
Te 0.500 0.392 0.392
Au 0.000 0.595 0.595
Au 0.500 0.811 0.811

Peak list (12 most intense, 5° ≤ 2θ ≤ 70°, in order of rising 2θ)
2θ/deg, d_spacing, I_rel
19.6, 4.534, 487
30.2, 2.963, 1000
31.8, 2.814, 614
38.5, 2.340, 369
43.5, 2.081, 729
44.4, 2.040, 702
50.7, 1.799, 334
58.3, 1.583, 53
62.9, 1.478, 166
64.5, 1.445, 116
64.8, 1.438, 225
66.5, 1.407, 74

=====

Entry 2:
Simulated X-ray diffraction stick pattern of SbTeAu2 for Cu Kα X-rays, from a cell relaxed with GGA-PBE.

Cell lengths 6.923, 6.923, 6.923 Å; angles 34.88, 34.88, 34.88 degrees
Sites, in units of the cell vectors:
Sb 0.000 0.000 0.000
Te 0.500 0.500 0.500
Au 0.252 0.252 0.252
Au 0.748 0.748 0.748

Peak list (12 most intense, 5° ≤ 2θ ≤ 70°, in order of rising 2θ)
2θ/deg, d_spacing, I_rel
26.4, 3.372, 79
27.5, 3.247, 24
30.9, 2.892, 1000
43.6, 2.075, 393
45.0, 2.016, 358
51.7, 1.767, 14
52.3, 1.748, 27
53.5, 1.713, 13
54.4, 1.686, 205
56.7, 1.624, 60
64.4, 1.446, 123
69.9, 1.345, 12

=====

Entry 3:
Simulated X-ray diffraction stick pattern of SbTe4Au for Cu Kα X-rays, from a cell relaxed with GGA-PBE.

Cell lengths 8.570, 8.570, 7.710 Å; angles 104.41, 104.41, 123.38 degrees
Sites, in units of the cell vectors:
Sb 0.068 0.932 0.750
Sb 0.932 0.068 0.250
Te 0.024 0.437 0.160
Te 0.208 0.322 0.718
Te 0.322 0.208 0.218
Te 0.437 0.024 0.660
Te 0.563 0.976 0.340
Te 0.678 0.792 0.782
Te 0.792 0.678 0.282
Te 0.976 0.563 0.840
Au 0.421 0.579 0.250
Au 0.579 0.421 0.750

Peak list (12 most intense, 5° ≤ 2θ ≤ 70°, in order of rising 2θ)
2θ/deg, d_spacing, I_rel
11.7, 7.545, 248
14.1, 6.280, 258
17.9, 4.952, 319
23.9, 3.730, 241
24.9, 3.578, 286
27.2, 3.281, 645
28.4, 3.143, 176
32.4, 2.765, 1000
37.2, 2.418, 295
42.7, 2.115, 612
44.6, 2.033, 231
45.5, 1.995, 167

=====

Entry 4:
Simulated X-ray diffraction stick pattern of SbTe3Au for Cu Kα X-rays, from a cell relaxed with GGA-PBE.

Cell lengths 8.062, 8.062, 8.062 Å; angles 54.53, 54.53, 54.53 degrees
Sites, in units of the cell vectors:
Sb 0.148 0.148 0.148
Sb 0.852 0.852 0.852
Te 0.056 0.726 0.449
Te 0.274 0.551 0.944
Te 0.449 0.056 0.726
Te 0.551 0.944 0.274
Te 0.726 0.449 0.056
Te 0.944 0.274 0.551
Au 0.343 0.343 0.343
Au 0.657 0.657 0.657

Peak list (12 most intense, 5° ≤ 2θ ≤ 70°, in order of rising 2θ)
2θ/deg, d_spacing, I_rel
12.9, 6.841, 131
16.3, 5.428, 397
22.2, 4.003, 319
24.1, 3.693, 129
27.4, 3.250, 937
33.0, 2.714, 271
35.8, 2.510, 1000
41.3, 2.187, 244
42.4, 2.132, 617
46.8, 1.940, 253
51.2, 1.783, 126
56.6, 1.625, 239